1.
DyY2Tc9: computed X-ray powder pattern (λ = 1.5418 Å (Cu Kα)), based on a cell relaxed with PBE.

Atomic structure:
```
data_DyY2Tc9
_chemical_formula_sum 'Dy1 Y2 Tc9'
_cell_length_a 9.2629
_cell_length_b 9.2629
_cell_length_c 9.2629
_cell_angle_alpha 33.62
_cell_angle_beta 33.62
_cell_angle_gamma 33.62
_symmetry_space_group_name_H-M 'P 1'
_symmetry_Int_Tables_number 1
_symmetry_space_group_name_Hall 'P 1'
loop_
_atom_site_label
_atom_site_type_symbol
_atom_site_fract_x
_atom_site_fract_y
_atom_site_fract_z
Dy1 Dy 0.0000 0.0000 0.0000
Y1 Y 0.1434 0.1434 0.1434
Y2 Y 0.8566 0.8566 0.8566
Tc1 Tc 0.0730 0.5883 0.5883
Tc2 Tc 0.3381 0.3381 0.3381
Tc3 Tc 0.4117 0.4117 0.9270
Tc4 Tc 0.4117 0.9270 0.4117
Tc5 Tc 0.5000 0.5000 0.5000
Tc6 Tc 0.5883 0.0730 0.5883
Tc7 Tc 0.5883 0.5883 0.0730
Tc8 Tc 0.6619 0.6619 0.6619
Tc9 Tc 0.9270 0.4117 0.4117
```

Peak list (10 most intense, 2θ = 10–80°, in order of rising 2θ)
| 2theta | Rel. int. |
| --- | --- |
| 30.70 | 12 |
| 33.47 | 43 |
| 38.97 | 25 |
| 39.46 | 100 |
| 41.35 | 28 |
| 42.63 | 23 |
| 46.04 | 12 |
| 59.81 | 10 |
| 63.87 | 29 |
| 70.27 | 19 |

2.
DyZn11Tc: computed X-ray powder pattern (λ = 1.5418 Å (Cu Kα)), based on a cell relaxed with PBE.

Atomic structure:
```
data_DyZn11Tc
_chemical_formula_sum 'Dy1 Zn11 Tc1'
_cell_length_a 7.0233
_cell_length_b 7.0233
_cell_length_c 6.5808
_cell_angle_alpha 97.86
_cell_angle_beta 97.86
_cell_angle_gamma 136.39
_symmetry_space_group_name_H-M 'P 1'
_symmetry_Int_Tables_number 1
_symmetry_space_group_name_Hall 'P 1'
loop_
_atom_site_label
_atom_site_type_symbol
_atom_site_fract_x
_atom_site_fract_y
_atom_site_fract_z
Dy1 Dy 0.0000 0.0000 0.0000
Zn1 Zn 0.0000 0.5000 0.0000
Zn2 Zn 0.0153 0.6705 0.6423
Zn3 Zn 0.2759 0.4976 0.7822
Zn4 Zn 0.3295 0.9847 0.3577
Zn5 Zn 0.4976 0.2759 0.7822
Zn6 Zn 0.5000 0.0000 0.0000
Zn7 Zn 0.5000 0.5000 0.5000
Zn8 Zn 0.5024 0.7241 0.2178
Zn9 Zn 0.6705 0.0153 0.6423
Zn10 Zn 0.7241 0.5024 0.2178
Zn11 Zn 0.9847 0.3295 0.3577
Tc1 Tc 0.0000 0.0000 0.5000
```

Peak list (10 most intense, 2θ = 10–80°, in order of rising 2θ)
| 2theta | Rel. int. |
| --- | --- |
| 34.38 | 34 |
| 35.06 | 24 |
| 39.21 | 29 |
| 39.42 | 18 |
| 39.64 | 34 |
| 40.44 | 100 |
| 40.84 | 25 |
| 41.82 | 20 |
| 44.48 | 27 |
| 72.47 | 22 |